# La2AgRu
Simulated powder XRD pattern, Cu Kα (λ = 1.5418 Å). Input: a DFT-relaxed cell (PBE, the Materials Project).
Peak positions follow from Bragg's law for the DFT cell and can differ from measured ones.

Cell and atoms:
```
data_La2AgRu
_chemical_formula_sum 'La8 Ag4 Ru4'
_symmetry_space_group_name_H-M 'F m -3 m'
_symmetry_Int_Tables_number 225
_symmetry_space_group_name_Hall '-F 4 2 3'
_cell_length_a 7.3696
_cell_length_b 7.3696
_cell_length_c 7.3696
_cell_angle_alpha 90.00
_cell_angle_beta 90.00
_cell_angle_gamma 90.00
loop_
_atom_site_label
_atom_site_fract_x
_atom_site_fract_y
_atom_site_fract_z
La1 0.2500 0.2500 0.2500
Ag1 0.0000 0.0000 0.0000
Ru1 0.0000 0.0000 0.5000
```

Main lines, low angle first (2θ = 10–80°):
hkl 2 0 0, 2θ 24.2, rel. 2
hkl 2 2 0, 2θ 34.4, rel. 100
hkl 2 2 2, 2θ 42.5, rel. 1
hkl 4 0 0, 2θ 49.5, rel. 18
hkl 4 2 0, 2θ 55.8, rel. 1
hkl 4 2 2, 2θ 61.7, rel. 36
hkl 4 4 0, 2θ 72.6, rel. 11